[1]
# PmDyCuPd
Theoretical powder diffractogram, Cu Kα. Input: a structure optimized by DFT (PBE).
No peak broadening, texture or thermal motion is included.

```
data_PmDyCuPd
_cell_length_a 4.553
_cell_length_b 3.789
_cell_length_c 10.669
_cell_angle_alpha 90.00
_cell_angle_beta 90.00
_cell_angle_gamma 90.00
_symmetry_space_group_name_H-M 'A m m 2'
_symmetry_Int_Tables_number 38
loop_
_symmetry_equiv_pos_as_xyz
'x,y,z'
'-x,-y,z'
'-x,y,z'
'x,-y,z'
'x,y+1/2,z+1/2'
'-x,-y+1/2,z+1/2'
'-x,y+1/2,z+1/2'
'x,-y+1/2,z+1/2'
loop_
_atom_site_label
_atom_site_type_symbol
_atom_site_fract_x
_atom_site_fract_y
_atom_site_fract_z
Pm1 Pm 0.000 0.000 0.000
Dy1 Dy 0.500 0.000 0.277
Cu1 Cu 0.500 0.000 0.564
Pd1 Pd 0.000 0.000 0.719
```

Most intense lines, 2θ = 10–80°, by intensity:
Position (°2θ)  d (Å)  I_rel
31.9  2.810  100
40.0  2.253  57
39.6  2.277  31
34.6  2.593  31
33.6  2.667  27
25.7  3.463  20
39.1  2.302  20
53.6  1.711  18
48.0  1.894  18
63.9  1.456  15



[2]
# Tb3ErTm2Te6
Theoretical powder diffractogram, Cu Kα. Input: a structure optimized by DFT (PBE).
No peak broadening, texture or thermal motion is included.

```
data_Tb3ErTm2Te6
_cell_length_a 18.975
_cell_length_b 4.314
_cell_length_c 8.731
_cell_angle_alpha 90.00
_cell_angle_beta 104.20
_cell_angle_gamma 90.00
_symmetry_space_group_name_H-M 'C 1 2/m 1'
_symmetry_Int_Tables_number 12
loop_
_symmetry_equiv_pos_as_xyz
'x,y,z'
'-x,-y,-z'
'-x,y,-z'
'x,-y,z'
'x+1/2,y+1/2,z'
'-x+1/2,-y+1/2,-z'
'-x+1/2,y+1/2,-z'
'x+1/2,-y+1/2,z'
loop_
_atom_site_label
_atom_site_type_symbol
_atom_site_fract_x
_atom_site_fract_y
_atom_site_fract_z
Tb1 Tb 0.000 0.000 0.000
Tb2 Tb 0.166 0.500 0.332
Er1 Er 0.000 0.000 0.500
Tm1 Tm 0.166 0.500 0.832
Te1 Te 0.002 0.500 0.748
Te2 Te 0.166 0.000 0.587
Te3 Te 0.168 0.000 0.079
```

Most intense lines, 2θ = 10–80°, by intensity:
Position (°2θ)  d (Å)  I_rel
29.1  3.068  100
41.4  2.181  38
41.9  2.157  37
51.8  1.764  20
68.0  1.378  17
68.7  1.366  17
76.2  1.250  13
60.3  1.534  13
51.0  1.791  7
75.2  1.264  7



[3]
# Na2BeGeO4
Theoretical powder diffractogram, Cu Kα. Input: a structure optimized by DFT (PBE).
No peak broadening, texture or thermal motion is included.

```
data_Na2BeGeO4
_cell_length_a 5.024
_cell_length_b 5.024
_cell_length_c 7.333
_cell_angle_alpha 90.00
_cell_angle_beta 90.00
_cell_angle_gamma 90.00
_symmetry_space_group_name_H-M 'I -4'
_symmetry_Int_Tables_number 82
loop_
_symmetry_equiv_pos_as_xyz
'x,y,z'
'y,-x,-z'
'-x,-y,z'
'-y,x,-z'
'x+1/2,y+1/2,z+1/2'
'y+1/2,-x+1/2,-z+1/2'
'-x+1/2,-y+1/2,z+1/2'
'-y+1/2,x+1/2,-z+1/2'
loop_
_atom_site_label
_atom_site_type_symbol
_atom_site_fract_x
_atom_site_fract_y
_atom_site_fract_z
Na1 Na 0.000 0.000 0.000
Na2 Na 0.000 0.500 0.250
Be1 Be 0.000 0.500 0.750
Ge1 Ge 0.000 0.000 0.500
O1 O 0.148 0.259 0.631
```

Most intense lines, 2θ = 10–80°, by intensity:
Position (°2θ)  d (Å)  I_rel
35.2  2.551  100
21.4  4.145  73
63.8  1.458  28
25.1  3.553  27
62.7  1.481  23
42.1  2.148  21
35.7  2.512  19
51.4  1.776  18
43.7  2.072  16
55.6  1.654  13